# Pr2TmCd
Calculated powder diffractogram, Cu Kα (λ = 1.5418 Å). Input: a structure optimized by DFT (PBE).

Cell and atoms:
Cell lengths 5.2494, 5.2494, 8.9938 Å; angles 90.00, 90.00, 90.00 degrees
Space group P4/nmm (No. 129, origin choice 2)
One atom of each set of equivalent atoms:
Pr1 0.2500 0.2500 0.2220 (multiplicity 2)
Pr2 0.2500 0.7500 0.5000 (multiplicity 2)
Tm1 0.2500 0.2500 0.7817 (multiplicity 2)
Cd1 0.2500 0.7500 0.0000 (multiplicity 2)

The 10 most intense peaks (2θ from 10° to 80°), by angle:
2θ (°), Rel. int., index
31.25, 100, 1 1 2
34.16, 43, 2 0 0
40.10, 10, 0 0 4
49.09, 15, 2 2 0
53.68, 17, 2 0 4
56.88, 5, 1 1 5
59.34, 32, 3 1 2
65.18, 9, 2 2 4
67.37, 5, 1 1 6
71.95, 5, 4 0 0